No. 1
TbH2: calculated XRD peak list (Cu Kα (weighted mean of Kα1 and Kα2)), based on a DFT-relaxed cell (GGA-PBE, the Materials Project).

```
data_TbH2
_space_group_name_H-M_alt 'F m -3 m'
_space_group_IT_number 225
_space_group_name_Hall '-F 4 2 3'
_cell_length_a 5.246
_cell_length_b 5.246
_cell_length_c 5.246
_cell_angle_alpha 90.00
_cell_angle_beta 90.00
_cell_angle_gamma 90.00
loop_
_atom_site_label
_atom_site_fract_x
_atom_site_fract_y
_atom_site_fract_z
Tb1 0.000 0.000 0.000
H1 0.250 0.250 0.250
```

Top 5 peaks for 5 to 70 degrees two-theta, in order of rising 2θ:
(hkl)	2θ/deg	Rel. int.
1 1 1	29.49	100
2 0 0	34.18	49
2 2 0	49.12	38
3 1 1	58.34	44
2 2 2	61.20	12

---

No. 2
Ca2HCl2: calculated XRD peak list (Cu Kα (weighted mean of Kα1 and Kα2)), based on a DFT-relaxed cell (GGA-PBE, the Materials Project).

```
data_Ca2HCl2
_space_group_name_H-M_alt 'P 4/m m m'
_space_group_IT_number 123
_space_group_name_Hall '-P 4 2'
_cell_length_a 4.850
_cell_length_b 4.850
_cell_length_c 14.854
_cell_angle_alpha 90.00
_cell_angle_beta 90.00
_cell_angle_gamma 90.00
loop_
_atom_site_label
_atom_site_fract_x
_atom_site_fract_y
_atom_site_fract_z
Ca1 0.000 0.000 0.142
H1 0.000 0.000 0.000
Cl1 0.000 0.000 0.303
```

Top 10 peaks for 5 to 70 degrees two-theta, in order of rising 2θ:
(hkl)	2θ/deg	Rel. int.
0 0 1	5.95	24
0 0 2	11.92	29
1 0 0	18.29	100
1 0 2	21.89	27
1 1 0	25.98	40
1 1 2	28.67	13
1 0 5	35.43	11
2 0 0	37.07	14
2 1 0	41.64	20
1 0 7	46.73	10